[1]
Simulated X-ray diffraction stick pattern of Li9Mn2Co5O16 for Cu Kα, from a structure optimized by DFT (PBE+U).
No peak broadening, texture or thermal motion is included.

The 10 most intense peaks (10 to 90 degrees two-theta), by angle:
d [Å]  I (rel.)
4.810  100
2.545  15
2.483  26
2.407  8
2.392  7
2.118  28
2.058  52
1.911  9
1.589  10
1.476  29

Cell and atoms:
a = 5.911 Å, b = 5.911 Å, c = 10.288 Å
α = 108.00°, β = 108.00°, γ = 58.72°
Fractional positions:
1 Li 0.000 0.000 0.000
2 Li 0.242 0.242 0.237
3 Li 0.244 0.755 0.230
4 Li 0.245 0.756 0.770
5 Li 0.257 0.257 0.764
6 Li 0.743 0.743 0.236
7 Li 0.755 0.244 0.230
8 Li 0.756 0.245 0.770
9 Li 0.758 0.758 0.763
10 Mn 0.000 0.500 0.500
11 Mn 0.500 0.000 0.500
12 Co 0.000 0.000 0.500
13 Co 0.000 0.500 0.000
14 Co 0.500 0.000 0.000
15 Co 0.500 0.500 0.000
16 Co 0.500 0.500 0.500
17 O 0.137 0.137 0.882
18 O 0.139 0.139 0.386
19 O 0.140 0.608 0.394
20 O 0.148 0.613 0.889
21 O 0.356 0.356 0.615
22 O 0.383 0.383 0.115
23 O 0.387 0.852 0.111
24 O 0.392 0.860 0.606
25 O 0.608 0.140 0.394
26 O 0.613 0.148 0.889
27 O 0.617 0.617 0.885
28 O 0.644 0.644 0.385
29 O 0.852 0.387 0.111
30 O 0.860 0.392 0.606
31 O 0.861 0.861 0.614
32 O 0.863 0.863 0.118

[2]
Simulated X-ray diffraction stick pattern of Li7Co5O12 for Cu Kα, from a structure optimized by DFT (PBE+U).
No peak broadening, texture or thermal motion is included.

The 10 most intense peaks (10 to 90 degrees two-theta), by angle:
d [Å]  I (rel.)
4.812  100
2.556  17
2.501  14
2.410  14
2.391  9
2.143  33
2.080  29
1.992  24
1.495  9
1.491  8

Cell and atoms:
a = 2.991 Å, b = 5.966 Å, c = 12.274 Å
α = 76.88°, β = 89.56°, γ = 88.30°
Fractional positions:
1 Li 0.000 0.000 0.000
2 Li 0.000 0.500 0.000
3 Li 0.001 0.165 0.668
4 Li 0.499 0.676 0.162
5 Li 0.500 0.000 0.500
6 Li 0.501 0.324 0.838
7 Li 0.999 0.835 0.332
8 Co 0.000 0.333 0.331
9 Co 0.000 0.667 0.669
10 Co 0.498 0.841 0.840
11 Co 0.500 0.500 0.500
12 Co 0.502 0.159 0.160
13 O 0.005 0.260 0.493
14 O 0.028 0.064 0.833
15 O 0.035 0.401 0.172
16 O 0.496 0.899 0.680
17 O 0.498 0.755 0.984
18 O 0.500 0.431 0.660
19 O 0.500 0.569 0.340
20 O 0.502 0.245 0.016
21 O 0.504 0.101 0.320
22 O 0.965 0.599 0.828
23 O 0.972 0.936 0.167
24 O 0.995 0.740 0.507